1.
The following is a calculated XRD peak list of LaTbDy6Er2. It was derived from the PBE geometry in Alexandria, using Cu Kα, 1.54184 Å.
Neutral-atom scattering factors, no anomalous dispersion.

Largest 10 diffraction maxima, by intensity, 2θ from 10° to 90°:
| d (Å) | intensity |
| --- | --- |
| 2.898 | 100 |
| 2.936 | 81 |
| 3.136 | 79 |
| 2.890 | 68 |
| 2.604 | 54 |
| 2.820 | 49 |
| 2.848 | 49 |
| 2.747 | 32 |
| 1.566 | 27 |
| 2.299 | 19 |

Lattice parameters (Å, degrees): 8.7948 8.7948 9.4371 92.79 92.79 116.74
Atoms (fractional coordinates):
La 0.0345 0.9655 0.7500
La 0.9655 0.0345 0.2500
Tb 0.4108 0.5892 0.2500
Tb 0.5892 0.4108 0.7500
Dy 0.0116 0.5556 0.6800
Dy 0.1193 0.7554 0.0579
Dy 0.2446 0.8807 0.4421
Dy 0.2922 0.5182 0.8856
Dy 0.4444 0.9884 0.8200
Dy 0.4818 0.7078 0.6144
Dy 0.5182 0.2922 0.3856
Dy 0.5556 0.0116 0.1800
Dy 0.7078 0.4818 0.1144
Dy 0.7554 0.1193 0.5579
Dy 0.8807 0.2446 0.9421
Dy 0.9884 0.4444 0.3200
Er 0.2011 0.3045 0.5517
Er 0.3045 0.2011 0.0517
Er 0.6955 0.7989 0.9483
Er 0.7989 0.6955 0.4483

---

2.
The following is a calculated XRD peak list of Dy4CS2. It was derived from the PBE geometry in Alexandria, using Cu Kα, 1.54184 Å.
Neutral-atom scattering factors, no anomalous dispersion.

Largest 10 diffraction maxima, by intensity, 2θ from 10° to 90°:
| d (Å) | intensity |
| --- | --- |
| 2.708 | 100 |
| 3.096 | 61 |
| 3.157 | 58 |
| 1.914 | 43 |
| 1.620 | 17 |
| 6.315 | 16 |
| 1.211 | 14 |
| 1.646 | 14 |
| 1.887 | 13 |
| 1.548 | 12 |

Lattice parameters (Å, degrees): 7.7728 10.8293 3.7746 90.00 90.00 90.00
Atoms (fractional coordinates):
Dy 0.0000 0.2299 0.0000
Dy 0.0000 0.7701 0.0000
Dy 0.2176 0.0000 0.5000
Dy 0.2824 0.5000 0.5000
Dy 0.5000 0.2701 0.0000
Dy 0.5000 0.7299 0.0000
Dy 0.7176 0.5000 0.5000
Dy 0.7824 0.0000 0.5000
C 0.0000 0.0000 0.0000
C 0.5000 0.5000 0.0000
S 0.2500 0.2500 0.5000
S 0.2500 0.7500 0.5000
S 0.7500 0.2500 0.5000
S 0.7500 0.7500 0.5000

---

3.
The following is a calculated XRD peak list of K2ReSiO6. It was derived from the PBE geometry in Alexandria, using Cu Kα, 1.54184 Å.
Neutral-atom scattering factors, no anomalous dispersion.

Largest 10 diffraction maxima, by intensity, 2θ from 10° to 90°:
| d (Å) | intensity |
| --- | --- |
| 2.680 | 100 |
| 4.377 | 73 |
| 3.791 | 49 |
| 2.286 | 47 |
| 1.895 | 38 |
| 1.547 | 38 |
| 1.739 | 22 |
| 1.340 | 22 |
| 1.695 | 21 |
| 1.199 | 17 |

Lattice parameters (Å, degrees): 5.3607 5.3607 5.3607 60.00 60.00 60.00
Atoms (fractional coordinates):
K 0.2500 0.2500 0.2500
K 0.7500 0.7500 0.7500
Re 0.0000 0.0000 0.0000
Si 0.5000 0.5000 0.5000
O 0.2583 0.2583 0.7417
O 0.2583 0.7417 0.2583
O 0.2583 0.7417 0.7417
O 0.7417 0.2583 0.2583
O 0.7417 0.2583 0.7417
O 0.7417 0.7417 0.2583

---

4.
The following is a calculated XRD peak list of TbPrDy2Y5. It was derived from the PBE geometry in Alexandria, using Cu Kα, 1.54184 Å.
Neutral-atom scattering factors, no anomalous dispersion.

Largest 10 diffraction maxima, by intensity, 2θ from 10° to 90°:
| d (Å) | intensity |
| --- | --- |
| 2.903 | 100 |
| 3.109 | 70 |
| 3.062 | 47 |
| 2.374 | 26 |
| 2.086 | 23 |
| 2.434 | 23 |
| 2.738 | 19 |
| 1.735 | 19 |
| 1.956 | 17 |
| 1.531 | 15 |

Lattice parameters (Å, degrees): 9.9351 9.9351 9.9351 128.33 128.33 76.10
Atoms (fractional coordinates):
Tb 0.2500 0.2500 0.0000
Tb 0.7500 0.7500 0.0000
Pr 0.2500 0.7500 0.5000
Pr 0.7500 0.2500 0.5000
Dy 0.1186 0.6186 0.7372
Dy 0.3814 0.1186 0.5000
Dy 0.6186 0.8814 0.5000
Dy 0.8814 0.3814 0.2628
Y 0.0000 0.0000 0.0000
Y 0.0666 0.1625 0.5000
Y 0.1625 0.6625 0.0959
Y 0.3375 0.4334 0.5000
Y 0.4334 0.9334 0.0959
Y 0.5000 0.5000 0.0000
Y 0.5666 0.0666 0.9041
Y 0.6625 0.5666 0.5000
Y 0.8375 0.3375 0.9041
Y 0.9334 0.8375 0.5000

---

5.
The following is a calculated XRD peak list of HfMgOsRu. It was derived from the PBE geometry in Alexandria, using Cu Kα, 1.54184 Å.
Neutral-atom scattering factors, no anomalous dispersion.

Largest 10 diffraction maxima, by intensity, 2θ from 10° to 90°:
| d (Å) | intensity |
| --- | --- |
| 2.253 | 100 |
| 1.301 | 35 |
| 3.679 | 30 |
| 1.593 | 17 |
| 1.921 | 15 |
| 1.127 | 11 |
| 1.462 | 7 |
| 1.226 | 5 |
| 3.186 | 4 |
| 1.425 | 1 |

Lattice parameters (Å, degrees): 6.3726 6.3726 6.3726 90.00 90.00 90.00
Atoms (fractional coordinates):
Hf 0.0000 0.0000 0.0000
Hf 0.0000 0.5000 0.5000
Hf 0.5000 0.0000 0.5000
Hf 0.5000 0.5000 0.0000
Mg 0.0000 0.0000 0.5000
Mg 0.0000 0.5000 0.0000
Mg 0.5000 0.0000 0.0000
Mg 0.5000 0.5000 0.5000
Os 0.2500 0.2500 0.2500
Os 0.2500 0.7500 0.7500
Os 0.7500 0.2500 0.7500
Os 0.7500 0.7500 0.2500
Ru 0.2500 0.2500 0.7500
Ru 0.2500 0.7500 0.2500
Ru 0.7500 0.2500 0.2500
Ru 0.7500 0.7500 0.7500

---

6.
The following is a calculated XRD peak list of Sc2InCl. It was derived from the PBE geometry in Alexandria, using Cu Kα, 1.54184 Å.
Neutral-atom scattering factors, no anomalous dispersion.

Largest 10 diffraction maxima, by intensity, 2θ from 10° to 90°:
| d (Å) | intensity |
| --- | --- |
| 2.542 | 100 |
| 7.754 | 93 |
| 3.200 | 69 |
| 2.320 | 67 |
| 2.603 | 53 |
| 2.431 | 44 |
| 1.445 | 31 |
| 2.082 | 29 |
| 1.939 | 21 |
| 1.771 | 19 |

Lattice parameters (Å, degrees): 3.3673 3.5130 7.7545 90.00 90.00 90.00
Atoms (fractional coordinates):
Sc 0.0000 0.0000 0.2367
Sc 0.0000 0.0000 0.7633
In 0.5000 0.5000 0.0000
Cl 0.5000 0.0000 0.5000

---

7.
The following is a calculated XRD peak list of Ag4HgTe3. It was derived from the PBE geometry in Alexandria, using Cu Kα, 1.54184 Å.
Neutral-atom scattering factors, no anomalous dispersion.

Largest 10 diffraction maxima, by intensity, 2θ from 10° to 90°:
| d (Å) | intensity |
| --- | --- |
| 3.283 | 100 |
| 2.374 | 90 |
| 3.904 | 76 |
| 2.366 | 69 |
| 2.052 | 67 |
| 2.966 | 59 |
| 2.145 | 59 |
| 2.782 | 58 |
| 1.996 | 58 |
| 4.600 | 50 |

Lattice parameters (Å, degrees): 8.3070 8.3070 9.6980 107.27 107.27 46.67
Atoms (fractional coordinates):
Ag 0.0909 0.9091 0.5000
Ag 0.1453 0.7053 0.7330
Ag 0.3774 0.7963 0.9798
Ag 0.6639 0.9715 0.4302
Ag 0.7053 0.1453 0.2330
Ag 0.7963 0.3774 0.4798
Ag 0.9091 0.0909 0.0000
Ag 0.9715 0.6639 0.9302
Hg 0.0850 0.4127 0.3044
Hg 0.4127 0.0850 0.8044
Te 0.0282 0.1448 0.7841
Te 0.1448 0.0282 0.2841
Te 0.4074 0.4396 0.4882
Te 0.4396 0.4074 0.9882
Te 0.7346 0.7650 0.1343
Te 0.7650 0.7346 0.6343

---

What did the seventh record say?
The following is a calculated XRD peak list of Ag4HgTe3. It was derived from the PBE geometry in Alexandria, using Cu Kα, 1.54184 Å.
Neutral-atom scattering factors, no anomalous dispersion.

Largest 10 diffraction maxima, by intensity, 2θ from 10° to 90°:
| d (Å) | intensity |
| --- | --- |
| 3.283 | 100 |
| 2.374 | 90 |
| 3.904 | 76 |
| 2.366 | 69 |
| 2.052 | 67 |
| 2.966 | 59 |
| 2.145 | 59 |
| 2.782 | 58 |
| 1.996 | 58 |
| 4.600 | 50 |

Lattice parameters (Å, degrees): 8.3070 8.3070 9.6980 107.27 107.27 46.67
Atoms (fractional coordinates):
Ag 0.0909 0.9091 0.5000
Ag 0.1453 0.7053 0.7330
Ag 0.3774 0.7963 0.9798
Ag 0.6639 0.9715 0.4302
Ag 0.7053 0.1453 0.2330
Ag 0.7963 0.3774 0.4798
Ag 0.9091 0.0909 0.0000
Ag 0.9715 0.6639 0.9302
Hg 0.0850 0.4127 0.3044
Hg 0.4127 0.0850 0.8044
Te 0.0282 0.1448 0.7841
Te 0.1448 0.0282 0.2841
Te 0.4074 0.4396 0.4882
Te 0.4396 0.4074 0.9882
Te 0.7346 0.7650 0.1343
Te 0.7650 0.7346 0.6343